This entry pairs a crystal structure of La6NdTm3 with its simulated powder diffractogram. Radiation: CuKα. Structure: the PBE geometry in Alexandria.

Peak list (10 most intense, 2θ = 15–90°, by angle)
| 2θ (°) | Rel. int. |
| --- | --- |
| 28.1 | 50 |
| 30.9 | 100 |
| 35.8 | 11 |
| 40.2 | 15 |
| 42.3 | 16 |
| 48.0 | 17 |
| 53.3 | 17 |
| 54.9 | 31 |
| 64.4 | 10 |
| 73.1 | 11 |

Lattice parameters (Å, degrees): 7.0912 7.0912 7.0912 89.93 89.93 89.93
Fractional coordinates of all 10 atoms:
1 La 0.0000 0.3276 0.6724
2 La 0.1731 0.8269 0.5000
3 La 0.3276 0.6724 0.0000
4 La 0.5000 0.1731 0.8269
5 La 0.6724 0.0000 0.3276
6 La 0.8269 0.5000 0.1731
7 Nd 0.0000 0.0000 0.0000
8 Tm 0.2535 0.2535 0.2535
9 Tm 0.5000 0.5000 0.5000
10 Tm 0.7465 0.7465 0.7465